# 1
Simulated X-ray diffraction stick pattern of LiYb4Ti2O10 for λ = 1.5418 Å (Cu Kα), from a crystal structure in Alexandria, relaxed with GGA-PBE.
Kinematic intensities with the Lorentz-polarization factor, no thermal factor.

a b c (Å): 5.3635 6.3973 7.2644
angles (deg): 93.10 98.43 110.37
Fractional positions:
Li1 0.0000 0.0000 0.0000
Yb1 0.2180 0.4196 0.2873
Yb2 0.5277 0.7252 0.7009
Yb3 0.5314 0.9519 0.2397
Yb4 0.8600 0.2607 0.6743
Ti1 0.0309 0.8472 0.4902
Ti2 0.7272 0.4870 0.0376
O1 0.0778 0.7140 0.2028
O2 0.1013 0.5668 0.5579
O3 0.4324 0.0019 0.5362
O4 0.4794 0.2726 0.1477
O5 0.5976 0.4245 0.7816
O6 0.6250 0.7586 0.0137
O7 0.6376 0.6759 0.4121
O8 0.9437 0.3047 0.0007
O9 0.9661 0.1044 0.3865
O10 0.9721 0.9406 0.7244

Peak list (10 most intense, 5 to 70 degrees two-theta, by angle)
2theta  d/Å  I/Imax
12.4  7.140  41
18.7  4.738  100
23.6  3.768  43
24.9  3.570  68
27.9  3.199  73
30.1  2.966  66
31.2  2.867  38
31.4  2.845  57
33.9  2.646  57
34.4  2.603  42

# 2
Simulated X-ray diffraction stick pattern of LiYb4Ti2O10 for λ = 1.5418 Å (Cu Kα), from a crystal structure in Alexandria, relaxed with GGA-PBE.
Kinematic intensities with the Lorentz-polarization factor, no thermal factor.

a b c (Å): 6.2302 6.2302 7.4192
angles (deg): 107.07 107.07 51.09
Fractional positions:
Li1 0.0000 0.0000 0.0000
Yb1 0.4731 0.1761 0.9240
Yb2 0.5995 0.0769 0.4305
Yb3 0.8239 0.5269 0.0760
Yb4 0.9231 0.4005 0.5695
Ti1 0.2327 0.7557 0.7301
Ti2 0.2443 0.7673 0.2699
O1 0.0673 0.1634 0.2519
O2 0.0688 0.9312 0.5000
O3 0.1079 0.1739 0.8636
O4 0.2942 0.3998 0.6380
O5 0.3324 0.4131 0.2389
O6 0.3541 0.6459 0.0000
O7 0.5869 0.6676 0.7611
O8 0.6002 0.7058 0.3620
O9 0.8261 0.8921 0.1364
O10 0.8366 0.9327 0.7481

Peak list (10 most intense, 5 to 70 degrees two-theta, by angle)
2theta  d/Å  I/Imax
16.7  5.315  19
18.5  4.795  21
29.3  3.053  96
30.2  2.958  100
34.9  2.569  26
35.1  2.556  23
35.8  2.509  16
49.1  1.856  36
49.2  1.852  24
60.3  1.535  16

# 3
Simulated X-ray diffraction stick pattern of Li2Ti3ZnO8 for λ = 1.5418 Å (Cu Kα), from a crystal structure in Alexandria, relaxed with GGA-PBE.
Kinematic intensities with the Lorentz-polarization factor, no thermal factor.

a b c (Å): 8.4512 8.4512 8.4512
angles (deg): 90.00 90.00 90.00
Fractional positions:
Li1 0.0025 0.4975 0.5025
Li2 0.1244 0.8756 0.3756
Li3 0.3756 0.1244 0.8756
Li4 0.4975 0.5025 0.0025
Li5 0.5025 0.0025 0.4975
Li6 0.6244 0.6244 0.6244
Li7 0.8756 0.3756 0.1244
Li8 0.9975 0.9975 0.9975
Ti1 0.1207 0.6274 0.1348
Ti2 0.1274 0.3652 0.8793
Ti3 0.1348 0.1207 0.6274
Ti4 0.3652 0.8793 0.1274
Ti5 0.3726 0.6348 0.3793
Ti6 0.3793 0.3726 0.6348
Ti7 0.6207 0.8726 0.8652
Ti8 0.6274 0.1348 0.1207
Ti9 0.6348 0.3793 0.3726
Ti10 0.8652 0.6207 0.8726
Ti11 0.8726 0.8652 0.6207
Ti12 0.8793 0.1274 0.3652
Zn1 0.2474 0.7474 0.7526
Zn2 0.2526 0.2526 0.2526
Zn3 0.7474 0.7526 0.2474
Zn4 0.7526 0.2474 0.7474
O1 0.1067 0.1280 0.3897
O2 0.1103 0.8933 0.6280
O3 0.1120 0.6120 0.8880
O4 0.1229 0.1447 0.8584
O5 0.1280 0.3897 0.1067
O6 0.1390 0.3610 0.6390
O7 0.1416 0.6229 0.3553
O8 0.1447 0.8584 0.1229
O9 0.3553 0.1416 0.6229
O10 0.3584 0.3771 0.8553
O11 0.3610 0.6390 0.1390
O12 0.3720 0.6103 0.6067
O13 0.3771 0.8553 0.3584
O14 0.3880 0.3880 0.3880
O15 0.3897 0.1067 0.1280
O16 0.3933 0.8720 0.8897
O17 0.6067 0.3720 0.6103
O18 0.6103 0.6067 0.3720
O19 0.6120 0.8880 0.1120
O20 0.6229 0.3553 0.1416
O21 0.6280 0.1103 0.8933
O22 0.6390 0.1390 0.3610
O23 0.6416 0.8771 0.6447
O24 0.6447 0.6416 0.8771
O25 0.8553 0.3584 0.3771
O26 0.8584 0.1229 0.1447
O27 0.8610 0.8610 0.8610
O28 0.8720 0.8897 0.3933
O29 0.8771 0.6447 0.6416
O30 0.8880 0.1120 0.6120
O31 0.8897 0.3933 0.8720
O32 0.8933 0.6280 0.1103

Peak list (10 most intense, 5 to 70 degrees two-theta, by angle)
2theta  d/Å  I/Imax
14.8  5.976  13
18.2  4.879  34
21.0  4.226  28
23.5  3.780  18
25.8  3.450  12
29.9  2.988  28
35.2  2.548  100
42.8  2.113  28
56.6  1.626  40
62.1  1.494  50

# 4
Simulated X-ray diffraction stick pattern of Li2Ti6Zn3O16 for λ = 1.5418 Å (Cu Kα), from a crystal structure in Alexandria, relaxed with GGA-PBE.
Kinematic intensities with the Lorentz-polarization factor, no thermal factor.

a b c (Å): 8.4591 8.4708 8.4674
angles (deg): 90.00 90.45 90.00
Fractional positions:
Li1 0.1265 0.0000 0.1249
Li2 0.2454 0.1321 0.5021
Li3 0.7546 0.6321 0.4979
Li4 0.8735 0.5000 0.8751
Ti1 0.1186 0.2495 0.8763
Ti2 0.1248 0.5060 0.6300
Ti3 0.1347 0.7630 0.3824
Ti4 0.3691 0.9913 0.8647
Ti5 0.3775 0.2405 0.1402
Ti6 0.3879 0.4974 0.3879
Ti7 0.6121 0.9974 0.6121
Ti8 0.6225 0.7405 0.8598
Ti9 0.6309 0.4913 0.1353
Ti10 0.8653 0.2630 0.6176
Ti11 0.8752 0.0060 0.3700
Ti12 0.8814 0.7495 0.1237
Zn1 0.0069 0.3767 0.2519
Zn2 0.2528 0.6238 0.0044
Zn3 0.4989 0.3691 0.7551
Zn4 0.5011 0.8691 0.2449
Zn5 0.7472 0.1238 0.9956
Zn6 0.9931 0.8767 0.7481
O1 0.1056 0.7467 0.1379
O2 0.1089 0.2661 0.6434
O3 0.1094 0.9803 0.3768
O4 0.1108 0.7303 0.6095
O5 0.1292 0.4869 0.8577
O6 0.1371 0.5138 0.3914
O7 0.1403 0.2538 0.1045
O8 0.1418 0.0136 0.8719
O9 0.3531 0.7309 0.3594
O10 0.3578 0.4850 0.6074
O11 0.3592 0.2345 0.8874
O12 0.3627 0.2707 0.3528
O13 0.3784 0.0190 0.1110
O14 0.3898 0.4863 0.1359
O15 0.3911 0.7707 0.8879
O16 0.3952 0.0122 0.6430
O17 0.6048 0.5122 0.3570
O18 0.6089 0.2707 0.1121
O19 0.6102 0.9863 0.8641
O20 0.6216 0.5190 0.8890
O21 0.6373 0.7707 0.6472
O22 0.6408 0.7345 0.1126
O23 0.6422 0.9850 0.3926
O24 0.6469 0.2309 0.6406
O25 0.8582 0.5136 0.1281
O26 0.8597 0.7538 0.8955
O27 0.8629 0.0138 0.6086
O28 0.8708 0.9869 0.1423
O29 0.8892 0.2303 0.3905
O30 0.8906 0.4803 0.6232
O31 0.8911 0.7661 0.3566
O32 0.8944 0.2467 0.8621

Peak list (10 most intense, 5 to 70 degrees two-theta, by angle)
2theta  d/Å  I/Imax
14.8  5.989  24
23.5  3.790  29
29.8  2.997  32
29.9  2.993  22
35.1  2.555  100
35.2  2.546  48
42.7  2.116  21
56.4  1.630  24
56.6  1.626  19
62.0  1.497  46

# 5
Simulated X-ray diffraction stick pattern of Li2Ti3ZnO8 for λ = 1.5418 Å (Cu Kα), from a crystal structure in Alexandria, relaxed with GGA-PBE.
Kinematic intensities with the Lorentz-polarization factor, no thermal factor.

a b c (Å): 5.9549 5.9549 5.9549
angles (deg): 60.33 60.33 60.33
Fractional positions:
Li1 0.0000 0.0000 0.0000
Li2 0.3821 0.3821 0.3821
Ti1 0.0023 0.0023 0.4934
Ti2 0.0023 0.4934 0.0023
Ti3 0.4934 0.0023 0.0023
Zn1 0.6171 0.6171 0.6171
O1 0.2123 0.7545 0.7545
O2 0.2412 0.2412 0.2412
O3 0.2499 0.2499 0.7924
O4 0.2499 0.7924 0.2499
O5 0.7545 0.2123 0.7545
O6 0.7545 0.7545 0.2123
O7 0.7584 0.7584 0.7584
O8 0.7924 0.2499 0.2499

Peak list (10 most intense, 5 to 70 degrees two-theta, by angle)
2theta  d/Å  I/Imax
18.3  4.850  53
21.0  4.221  39
30.0  2.977  37
35.2  2.549  100
35.4  2.537  19
42.8  2.111  33
56.6  1.626  26
56.8  1.621  19
62.0  1.496  29
62.4  1.489  26

# 6
Simulated X-ray diffraction stick pattern of LiZrTiO4 for λ = 1.5418 Å (Cu Kα), from a crystal structure in Alexandria, relaxed with GGA-PBE.
Kinematic intensities with the Lorentz-polarization factor, no thermal factor.

a b c (Å): 6.2227 6.2227 6.2227
angles (deg): 122.16 117.48 90.36
Fractional positions:
Li1 0.3733 0.1233 0.2500
Li2 0.6267 0.8767 0.7500
Zr1 0.0000 0.5000 0.5000
Zr2 0.5000 0.5000 0.0000
Ti1 0.0000 0.0000 0.5000
Ti2 0.0000 0.5000 0.0000
O1 0.2071 0.7418 0.4653
O2 0.2236 0.2582 0.9653
O3 0.2350 0.2523 0.5172
O4 0.2350 0.7178 0.9828
O5 0.7650 0.2822 0.0172
O6 0.7650 0.7477 0.4828
O7 0.7764 0.7418 0.0347
O8 0.7929 0.2582 0.5347

Peak list (10 most intense, 5 to 70 degrees two-theta, by angle)
2theta  d/Å  I/Imax
17.0  5.201  39
17.9  4.963  100
33.1  2.706  42
34.1  2.630  19
34.5  2.602  22
41.0  2.201  48
41.2  2.193  24
44.4  2.039  14
54.9  1.673  12
59.5  1.554  30

# 7
Simulated X-ray diffraction stick pattern of LiTl2O3 for λ = 1.5418 Å (Cu Kα), from a crystal structure in Alexandria, relaxed with GGA-PBE.
Kinematic intensities with the Lorentz-polarization factor, no thermal factor.

a b c (Å): 5.9363 5.9363 5.9363
angles (deg): 146.04 133.39 58.91
Fractional positions:
Li1 0.0000 0.0000 0.0000
Tl1 0.3383 0.3383 0.0000
Tl2 0.6617 0.6617 0.0000
O1 0.1654 0.6654 0.5000
O2 0.5000 0.0000 0.5000
O3 0.8346 0.3346 0.5000

Peak list (10 most intense, 5 to 70 degrees two-theta, by angle)
2theta  d/Å  I/Imax
17.2  5.169  47
20.8  4.277  86
27.1  3.288  45
32.1  2.790  87
32.2  2.778  86
36.6  2.455  30
36.8  2.444  100
38.3  2.349  45
48.0  1.895  30
54.2  1.694  65

Q: Number 6 is which compound?
A: LiZrTiO4

Q: What is the formula in the first record?
A: LiYb4Ti2O10